Simulated PXRD pattern of Li4TlCd4 for Cu Kα, from the GGA-PBE geometry in Alexandria.
Kinematic intensities with the Lorentz-polarization factor, no thermal factor.

Atomic structure:
a = 7.0598 Å, b = 7.0598 Å, c = 7.0598 Å
α = 94.31°, β = 94.31°, γ = 148.17°
Element x y z (fractional)
Li  0.1678  0.1678  0.3357
Li  0.1678  0.8322  0.0000
Li  0.8322  0.1678  0.0000
Li  0.8322  0.8322  0.6643
Tl  0.5000  0.5000  0.0000
Cd  0.1725  0.5000  0.6725
Cd  0.5000  0.1725  0.6725
Cd  0.5000  0.8275  0.3275
Cd  0.8275  0.5000  0.3275

Principal peaks in the range 2θ = 10–90°, in order of rising 2θ:
d = 4.801 Å, 2θ 18.48, intensity 49
d = 3.591 Å, 2θ 24.80, intensity 57
d = 3.036 Å, 2θ 29.42, intensity 37
d = 2.467 Å, 2θ 36.42, intensity 100
d = 2.263 Å, 2θ 39.83, intensity 39
d = 2.194 Å, 2θ 41.14, intensity 26
d = 1.720 Å, 2θ 53.25, intensity 21
d = 1.600 Å, 2θ 57.60, intensity 13
d = 1.471 Å, 2θ 63.21, intensity 19
d = 1.342 Å, 2θ 70.09, intensity 28